[1]
The following is a calculated PXRD pattern of MnFe2Rh5. It was derived from a crystal structure in Alexandria, relaxed with GGA-PBE, using Cu Kα (λ = 1.5418 Å).

Most intense lines, 10° ≤ 2θ ≤ 80°, in order of rising 2θ:
index, 2θ/deg, Rel. int.
1 2 0, 23.8, 7
1 2 1, 33.0, 7
2 0 1, 41.0, 73
0 4 1, 41.3, 100
2 1 1, 41.9, 31
2 3 0, 42.7, 15
0 0 2, 46.0, 38
2 4 0, 48.8, 42
2 3 2, 64.6, 9
2 4 2, 69.3, 29
4 1 0, 71.6, 7
0 8 0, 71.9, 8

Structural model:
abc: 5.3105 10.5107 3.9468
angles: 90.00 90.00 90.00
Space group Pbam (No. 55)
Symmetry-distinct sites (fractional):
Mn 0.0000 0.0000 0.0000 [2 per cell]
Fe 0.1953 0.3644 0.5000 [4 per cell]
Rh 0.0000 0.5000 0.0000 [2 per cell]
Rh 0.0601 0.7552 0.0000 [4 per cell]
Rh 0.2029 0.1143 0.5000 [4 per cell]

[2]
The following is a calculated PXRD pattern of TbPrHo2Tm. It was derived from a crystal structure in Alexandria, relaxed with GGA-PBE, using Cu Kα (λ = 1.5418 Å).

Most intense lines, 10° ≤ 2θ ≤ 80°, in order of rising 2θ:
index, 2θ/deg, Rel. int.
0 2 0, 15.5, 22
2 2 0, 26.3, 49
1 1 2, 28.1, 32
0 2 2, 29.3, 58
0 4 0, 31.2, 61
2 0 2, 32.8, 100
3 1 0, 33.0, 33
1 3 2, 35.9, 57
3 3 0, 40.0, 43
2 4 2, 45.9, 65
2 2 4, 58.0, 21
3 7 0, 66.1, 34

Structural model:
abc: 8.3861 11.4668 7.1982
angles: 90.00 90.00 90.00
Space group Cmcm (No. 63)
Symmetry-distinct sites (fractional):
Tb 0.0000 0.0007 0.2500 [4 per cell]
Pr 0.0000 0.2706 0.7500 [4 per cell]
Ho 0.1892 0.5000 0.0000 [8 per cell]
Tm 0.0000 0.2801 0.2500 [4 per cell]